For Cu3AgCl4, the PBE geometry in Alexandria gives the theoretical X-ray powder pattern in this record (Cu Ka).
Intensities are scaled so that the largest is 100.

Cell and atoms:
```
Cu3AgCl4
1.0
5.5806 0.0000 0.0000
0.0000 5.5806 0.0000
0.0000 0.0000 11.0784
Cu Ag Cl
6 2 8
Direct
0.0000 0.0000 0.0000
0.0000 0.5000 0.2500
0.0000 0.5000 0.7500
0.5000 0.0000 0.2500
0.5000 0.0000 0.7500
0.5000 0.5000 0.5000
0.0000 0.0000 0.5000
0.5000 0.5000 0.0000
0.2290 0.2290 0.8651
0.2290 0.7710 0.1349
0.2710 0.2710 0.3651
0.2710 0.7290 0.6349
0.7290 0.2710 0.6349
0.7290 0.7290 0.3651
0.7710 0.2290 0.1349
0.7710 0.7710 0.8651
```

Peak list (10 most intense, 15° ≤ 2θ ≤ 90°, in order of rising 2θ)
| d/Å | 2theta | intensity |
| --- | --- | --- |
| 3.214 | 27.76 | 100.0 |
| 2.790 | 32.08 | 9.1 |
| 1.973 | 46.00 | 19.6 |
| 1.966 | 46.18 | 38.9 |
| 1.681 | 54.58 | 26.9 |
| 1.672 | 54.90 | 13.2 |
| 1.395 | 67.09 | 5.5 |
| 1.276 | 74.36 | 9.7 |
| 1.138 | 85.31 | 10.9 |
| 1.133 | 85.71 | 5.4 |